# CaMn3C6O6
Calculated powder X-ray diffraction pattern, copper Kα. Input: the GGA+U geometry in the Materials Project.
Lines closer than 0.1° are merged.

Cell and atoms:
Lattice parameters (Å, degrees): 6.1994 7.7574 24.5667 88.16 88.55 76.03
Fractional coordinates of all 16 atoms:
1 Ca 0.0000 0.0000 0.0000
2 Mn 0.0000 0.0000 0.5000
3 Mn 0.0000 0.5000 0.0000
4 Mn 0.5000 0.5000 0.0000
5 C 0.0946 0.0111 0.7429
6 C 0.1889 0.6749 0.9966
7 C 0.3352 0.7662 0.9780
8 C 0.6648 0.2338 0.0220
9 C 0.8111 0.3251 0.0034
10 C 0.9054 0.9889 0.2571
11 O 0.0261 0.1588 0.7563
12 O 0.1630 0.8632 0.7296
13 O 0.3543 0.9205 0.9631
14 O 0.6457 0.0795 0.0369
15 O 0.8370 0.1368 0.2704
16 O 0.9739 0.8412 0.2437

Top 6 peaks for 2θ from 10° to 90°, in order of rising 2θ:
two_theta  d (Å)  Rel. int.  h k l
10.81  8.183  496  0 0 3
14.43  6.138  1000  0 0 4
14.73  6.015  153  1 0 0
16.50  5.372  212  1 1 0
20.49  4.335  135  1 0 4
21.60  4.115  141  1 1 4

***

# FePO4F
Calculated powder X-ray diffraction pattern, copper Kα. Input: the GGA+U geometry in the Materials Project.
Lines closer than 0.1° are merged.

Cell and atoms:
Lattice parameters (Å, degrees): 12.8040 10.8519 6.3310 90.00 90.00 90.00
Fractional coordinates of all 56 atoms:
1 Fe 0.0000 0.0000 0.0000
2 Fe 0.0000 0.5000 0.5000
3 Fe 0.1378 0.2500 0.2500
4 Fe 0.3622 0.7500 0.2500
5 Fe 0.5000 0.0000 0.0000
6 Fe 0.5000 0.5000 0.5000
7 Fe 0.6378 0.2500 0.7500
8 Fe 0.8622 0.7500 0.7500
9 P 0.0639 0.2500 0.7500
10 P 0.2500 0.0000 0.0835
11 P 0.2500 0.5000 0.4165
12 P 0.4361 0.7500 0.7500
13 P 0.5639 0.2500 0.2500
14 P 0.7500 0.0000 0.9165
15 P 0.7500 0.5000 0.5835
16 P 0.9361 0.7500 0.2500
17 O 0.0074 0.6370 0.2921
18 O 0.0074 0.8630 0.2079
19 O 0.1367 0.2243 0.5599
20 O 0.1367 0.2757 0.9401
21 O 0.1534 0.5146 0.5565
22 O 0.1534 0.9854 0.9435
23 O 0.2425 0.1154 0.2286
24 O 0.2425 0.3846 0.2714
25 O 0.2575 0.6154 0.2714
26 O 0.2575 0.8846 0.2286
27 O 0.3466 0.0146 0.9435
28 O 0.3466 0.4854 0.5565
29 O 0.3633 0.7243 0.9401
30 O 0.3633 0.7757 0.5599
31 O 0.4926 0.1370 0.2079
32 O 0.4926 0.3630 0.2921
33 O 0.5074 0.6370 0.7079
34 O 0.5074 0.8630 0.7921
35 O 0.6367 0.2243 0.4401
36 O 0.6367 0.2757 0.0599
37 O 0.6534 0.5146 0.4435
38 O 0.6534 0.9854 0.0565
39 O 0.7425 0.1154 0.7714
40 O 0.7425 0.3846 0.7286
41 O 0.7575 0.6154 0.7286
42 O 0.7575 0.8846 0.7714
43 O 0.8466 0.0146 0.0565
44 O 0.8466 0.4854 0.4435
45 O 0.8633 0.7243 0.0599
46 O 0.8633 0.7757 0.4401
47 O 0.9926 0.1370 0.7921
48 O 0.9926 0.3630 0.7079
49 F 0.0258 0.1238 0.2225
50 F 0.0258 0.3762 0.2775
51 F 0.4742 0.6238 0.2775
52 F 0.4742 0.8762 0.2225
53 F 0.5258 0.1238 0.7775
54 F 0.5258 0.3762 0.7225
55 F 0.9742 0.6238 0.7225
56 F 0.9742 0.8762 0.7775

Top 6 peaks for 2θ from 10° to 90°, in order of rising 2θ:
two_theta  d (Å)  Rel. int.  h k l
15.61  5.675  332  1 0 1
16.07  5.514  904  2 1 0
16.21  5.468  1000  0 1 1
28.38  3.145  377  0 3 1
32.45  2.759  364  4 2 0
32.75  2.734  273  0 2 2

***

# ErBiW2O9
Calculated powder X-ray diffraction pattern, copper Kα. Input: the GGA+U geometry in the Materials Project.
Lines closer than 0.1° are merged.

Cell and atoms:
Lattice parameters (Å, degrees): 32.7128 5.7488 3.9163 90.00 90.00 90.00
Fractional coordinates of all 52 atoms:
1 Er 0.1672 0.2500 0.2399
2 Er 0.3328 0.7500 0.7399
3 Er 0.6672 0.2500 0.2601
4 Er 0.8328 0.7500 0.7601
5 Bi 0.0267 0.2500 0.7732
6 Bi 0.4733 0.7500 0.2732
7 Bi 0.5267 0.2500 0.7268
8 Bi 0.9733 0.7500 0.2268
9 W 0.0800 0.7500 0.2629
10 W 0.2066 0.7500 0.7684
11 W 0.2934 0.2500 0.2684
12 W 0.4200 0.2500 0.7629
13 W 0.5800 0.7500 0.2371
14 W 0.7066 0.7500 0.7316
15 W 0.7934 0.2500 0.2316
16 W 0.9200 0.2500 0.7371
17 O 0.0294 0.5198 0.2442
18 O 0.0294 0.9802 0.2442
19 O 0.0733 0.7500 0.7486
20 O 0.1143 0.9998 0.2429
21 O 0.1143 0.5002 0.2429
22 O 0.1787 0.0309 0.7379
23 O 0.1787 0.4691 0.7379
24 O 0.2023 0.7500 0.2479
25 O 0.2382 0.2500 0.2359
26 O 0.2618 0.7500 0.7359
27 O 0.2977 0.2500 0.7479
28 O 0.3213 0.5309 0.2379
29 O 0.3213 0.9691 0.2379
30 O 0.3857 0.0002 0.7429
31 O 0.3857 0.4998 0.7429
32 O 0.4267 0.2500 0.2486
33 O 0.4706 0.0198 0.7442
34 O 0.4706 0.4802 0.7442
35 O 0.5294 0.5198 0.2558
36 O 0.5294 0.9802 0.2558
37 O 0.5733 0.7500 0.7514
38 O 0.6143 0.9998 0.2571
39 O 0.6143 0.5002 0.2571
40 O 0.6787 0.0309 0.7621
41 O 0.6787 0.4691 0.7621
42 O 0.7023 0.7500 0.2521
43 O 0.7382 0.2500 0.2641
44 O 0.7618 0.7500 0.7641
45 O 0.7977 0.2500 0.7521
46 O 0.8213 0.5309 0.2621
47 O 0.8213 0.9691 0.2621
48 O 0.8857 0.0002 0.7571
49 O 0.8857 0.4998 0.7571
50 O 0.9267 0.2500 0.2514
51 O 0.9706 0.0198 0.7558
52 O 0.9706 0.4802 0.7558

Top 6 peaks for 2θ from 10° to 90°, in order of rising 2θ:
two_theta  d (Å)  Rel. int.  h k l
26.75  3.332  719  8 1 0
28.10  3.176  1000  2 1 1
31.11  2.874  282  0 2 0
35.76  2.511  186  10 0 1
48.12  1.891  305  10 2 1
54.34  1.688  198  8 1 2

***

# W9O13
Calculated powder X-ray diffraction pattern, copper Kα. Input: the GGA+U geometry in the Materials Project.
Lines closer than 0.1° are merged.

Cell and atoms:
Lattice parameters (Å, degrees): 3.2580 6.7003 17.6367 92.99 91.66 99.87
Fractional coordinates of all 22 atoms:
1 W 0.0000 0.0000 0.0000
2 W 0.1719 0.3213 0.4967
3 W 0.2433 0.6714 0.8692
4 W 0.3627 0.8141 0.1690
5 W 0.4689 0.9713 0.3801
6 W 0.5311 0.0287 0.6199
7 W 0.6373 0.1859 0.8310
8 W 0.7567 0.3286 0.1308
9 W 0.8281 0.6787 0.5033
10 O 0.0636 0.1774 0.3914
11 O 0.1140 0.0230 0.8768
12 O 0.1190 0.2278 0.6058
13 O 0.1828 0.3824 0.8214
14 O 0.4188 0.7923 0.9771
15 O 0.4420 0.9445 0.2682
16 O 0.5000 0.0000 0.5000
17 O 0.5580 0.0555 0.7318
18 O 0.5812 0.2077 0.0229
19 O 0.8172 0.6176 0.1786
20 O 0.8810 0.7722 0.3942
21 O 0.8860 0.9770 0.1232
22 O 0.9364 0.8226 0.6086

Top 6 peaks for 2θ from 10° to 90°, in order of rising 2θ:
two_theta  d (Å)  Rel. int.  h k l
10.05  8.800  770  0 0 2
13.44  6.590  633  0 1 0
15.10  5.867  869  0 0 3
19.67  4.514  814  0 1 -3
33.22  2.697  1000  1 1 -1
35.24  2.547  755  -1 1 4

***

# MgFe8O8F8
Calculated powder X-ray diffraction pattern, copper Kα. Input: the GGA+U geometry in the Materials Project.
Lines closer than 0.1° are merged.

Cell and atoms:
Lattice parameters (Å, degrees): 9.8069 3.1063 9.8187 90.00 93.51 90.00
Fractional coordinates of all 25 atoms:
1 Mg 0.0000 0.0000 0.0000
2 Fe 0.0116 0.5000 0.7231
3 Fe 0.2744 0.0000 0.0357
4 Fe 0.2844 0.0000 0.5085
5 Fe 0.4896 0.5000 0.2839
6 Fe 0.5108 0.5000 0.7454
7 Fe 0.7028 0.0000 0.0787
8 Fe 0.7176 0.0000 0.5192
9 Fe 0.9839 0.5000 0.2744
10 O 0.1385 0.5000 0.0710
11 O 0.3586 0.5000 0.4270
12 O 0.3899 0.0000 0.1866
13 O 0.4093 0.0000 0.6800
14 O 0.5994 0.0000 0.3640
15 O 0.6155 0.5000 0.1251
16 O 0.6549 0.5000 0.6225
17 O 0.8850 0.0000 0.1555
18 F 0.1061 0.0000 0.3680
19 F 0.1144 0.0000 0.8344
20 F 0.1677 0.5000 0.5954
21 F 0.3638 0.5000 0.9267
22 F 0.6169 0.0000 0.8767
23 F 0.8419 0.5000 0.4269
24 F 0.8982 0.5000 0.9054
25 F 0.8992 0.0000 0.6428

Top 6 peaks for 2θ from 10° to 90°, in order of rising 2θ:
two_theta  d (Å)  Rel. int.  h k l
24.91  3.574  694  2 0 -2
26.52  3.361  748  2 0 2
34.18  2.623  1000  2 1 0
39.50  2.281  221  2 1 2
50.13  1.820  301  4 1 -2
51.92  1.761  467  4 1 2

***

# BaDyCr4O12
Calculated powder X-ray diffraction pattern, copper Kα. Input: the GGA+U geometry in the Materials Project.
Lines closer than 0.1° are merged.

Cell and atoms:
Lattice parameters (Å, degrees): 5.4732 5.4732 7.4422 90.00 90.00 90.00
Fractional coordinates of all 18 atoms:
1 Ba 0.0000 0.0000 0.0000
2 Dy 0.5000 0.5000 0.5000
3 Cr 0.0000 0.5000 0.2515
4 Cr 0.0000 0.5000 0.7485
5 Cr 0.5000 0.0000 0.2515
6 Cr 0.5000 0.0000 0.7485
7 O 0.0000 0.5000 0.0000
8 O 0.0000 0.5000 0.5000
9 O 0.2637 0.2637 0.2690
10 O 0.2637 0.2637 0.7310
11 O 0.2637 0.7363 0.2690
12 O 0.2637 0.7363 0.7310
13 O 0.5000 0.0000 0.0000
14 O 0.5000 0.0000 0.5000
15 O 0.7363 0.2637 0.2690
16 O 0.7363 0.2637 0.7310
17 O 0.7363 0.7363 0.2690
18 O 0.7363 0.7363 0.7310

Top 6 peaks for 2θ from 10° to 90°, in order of rising 2θ:
two_theta  d (Å)  Rel. int.  h k l
20.14  4.409  1000  1 0 1
32.72  2.737  340  2 0 0
33.41  2.682  635  1 1 2
38.73  2.325  369  2 1 1
46.96  1.935  288  2 2 0
58.84  1.569  249  3 1 2

***

# Li9Mn2Co5O16
Calculated powder X-ray diffraction pattern, copper Kα. Input: the GGA+U geometry in the Materials Project.
Lines closer than 0.1° are merged.

Cell and atoms:
Lattice parameters (Å, degrees): 8.3527 2.9102 11.8802 90.00 90.73 90.00
Fractional coordinates of all 32 atoms:
1 Li 0.0000 0.0000 0.0000
2 Li 0.0000 0.0000 0.5000
3 Li 0.2547 0.5000 0.1266
4 Li 0.2641 0.5000 0.6191
5 Li 0.4993 0.0000 0.2540
6 Li 0.5000 0.0000 0.5000
7 Li 0.5007 0.0000 0.7460
8 Li 0.7359 0.5000 0.3809
9 Li 0.7453 0.5000 0.8734
10 Mn 0.0011 0.0000 0.2521
11 Mn 0.9989 0.0000 0.7479
12 Co 0.2560 0.5000 0.8767
13 Co 0.2749 0.5000 0.3818
14 Co 0.5000 0.0000 0.0000
15 Co 0.7251 0.5000 0.6182
16 Co 0.7440 0.5000 0.1233
17 O 0.0009 0.5000 0.8603
18 O 0.0027 0.5000 0.6408
19 O 0.2294 0.0000 0.2579
20 O 0.2351 0.0000 0.7592
21 O 0.2434 0.0000 0.4904
22 O 0.2481 0.0000 0.9918
23 O 0.4884 0.5000 0.3709
24 O 0.4960 0.5000 0.8812
25 O 0.5040 0.5000 0.1188
26 O 0.5116 0.5000 0.6291
27 O 0.7519 0.0000 0.0082
28 O 0.7566 0.0000 0.5095
29 O 0.7649 0.0000 0.2408
30 O 0.7706 0.0000 0.7421
31 O 0.9973 0.5000 0.3592
32 O 0.9991 0.5000 0.1397

Top 6 peaks for 2θ from 10° to 90°, in order of rising 2θ:
two_theta  d (Å)  Rel. int.  h k l
18.22  4.870  1000  1 0 -2
35.79  2.509  134  3 0 2
36.07  2.490  253  1 1 2
43.33  2.088  261  4 0 0
43.54  2.079  552  0 1 4
62.80  1.480  145  4 1 -4